# BaNa2Ti2Si4O14
Theoretical X-ray powder pattern, Cu Kα (weighted mean of Kα1 and Kα2). Input: DFT lattice parameters and positions (GGA-PBE).
Peak positions follow from Bragg's law for the DFT cell and can differ from measured ones.

Peak list (10 most intense, 2θ = 5–70°, most intense first)
| 2θ (°) | I/Imax |
| --- | --- |
| 10.49 | 100 |
| 30.38 | 84 |
| 30.57 | 53 |
| 26.15 | 46 |
| 30.14 | 35 |
| 24.10 | 27 |
| 41.12 | 27 |
| 25.11 | 26 |
| 44.08 | 26 |
| 39.78 | 24 |

Structural model:
```
BaNa2Ti2Si4O14
1.0
-5.2685 7.0301 4.1084
5.2685 -7.0301 4.1084
5.2685 7.0301 -4.1084
Ba Na Ti Si O
2 4 4 8 28
direct
0.2486 0.2500 0.4986
0.7514 0.7500 0.5014
0.1648 0.7580 0.9068
0.8512 0.2580 0.0932
0.9986 0.4986 0.5000
0.9986 0.9986 0.0000
0.2399 0.0207 0.7191
0.3016 0.5207 0.2809
0.7405 0.5228 0.7177
0.8051 0.0228 0.2823
0.1499 0.3237 0.8842
0.1499 0.7657 0.3262
0.4395 0.2657 0.1158
0.4395 0.8237 0.6738
0.5446 0.1607 0.3260
0.5446 0.7186 0.8839
0.8347 0.2186 0.6740
0.8347 0.6607 0.1161
0.0290 0.2324 0.2966
0.0980 0.1173 0.7427
0.0980 0.8553 0.4807
0.1459 0.3308 0.0539
0.1459 0.5920 0.3151
0.2769 0.0920 0.9461
0.2769 0.8308 0.6849
0.3494 0.5282 0.8932
0.3494 0.9562 0.3213
0.3746 0.3553 0.2573
0.3746 0.6173 0.5193
0.4464 0.2300 0.7164
0.4899 0.1517 0.1609
0.4899 0.8291 0.8382
0.5135 0.7300 0.2836
0.6048 0.3644 0.4798
0.6048 0.6250 0.7404
0.6349 0.0282 0.6787
0.6349 0.4562 0.1068
0.7106 0.1595 0.3168
0.7106 0.8938 0.0511
0.8427 0.3938 0.6832
0.8427 0.6595 0.9489
0.8846 0.1250 0.5202
0.8846 0.8644 0.2596
0.9358 0.7324 0.7034
0.9908 0.3291 0.8391
0.9908 0.6517 0.1618
```

=====

# Ba2NaUO6
Theoretical X-ray powder pattern, Cu Kα (weighted mean of Kα1 and Kα2). Input: DFT lattice parameters and positions (GGA-PBE).
Peak positions follow from Bragg's law for the DFT cell and can differ from measured ones.

Peak list (10 most intense, 2θ = 5–70°, most intense first)
| 2θ (°) | I/Imax |
| --- | --- |
| 28.98 | 100 |
| 41.44 | 45 |
| 17.72 | 35 |
| 17.53 | 28 |
| 28.73 | 25 |
| 29.22 | 25 |
| 51.06 | 21 |
| 51.67 | 21 |
| 60.05 | 19 |
| 68.03 | 18 |

Structural model:
```
Ba2NaUO6
1.0
6.2141 0.0000 0.0000
0.0000 8.7159 0.0000
0.0000 0.0000 6.1118
Ba Na U O
4 2 2 12
direct
0.0106 0.2422 0.0000
0.4894 0.7422 0.5000
0.5106 0.2578 0.5000
0.9894 0.7578 0.0000
0.0000 0.0000 0.5000
0.5000 0.5000 0.0000
0.0000 0.5000 0.5000
0.5000 0.0000 0.0000
0.0280 0.7351 0.5000
0.2370 0.4891 0.2639
0.2370 0.4891 0.7361
0.2630 0.9891 0.2361
0.2630 0.9891 0.7639
0.4720 0.2351 0.0000
0.5280 0.7649 0.0000
0.7370 0.0109 0.2361
0.7370 0.0109 0.7639
0.7630 0.5109 0.2639
0.7630 0.5109 0.7361
0.9720 0.2649 0.5000
```

=====

# Ba3Na2Sb4
Theoretical X-ray powder pattern, Cu Kα (weighted mean of Kα1 and Kα2). Input: DFT lattice parameters and positions (GGA-PBE).
Peak positions follow from Bragg's law for the DFT cell and can differ from measured ones.

Peak list (10 most intense, 2θ = 5–70°, most intense first)
| 2θ (°) | I/Imax |
| --- | --- |
| 28.16 | 100 |
| 26.90 | 53 |
| 33.83 | 32 |
| 17.62 | 29 |
| 21.02 | 23 |
| 30.89 | 22 |
| 31.36 | 21 |
| 30.20 | 20 |
| 39.09 | 17 |
| 55.39 | 14 |

Structural model:
```
Ba3Na2Sb4
1.0
9.2552 0.0000 0.0000
0.0000 8.2952 0.0000
-9.2472 0.0000 17.3813
Ba Na Sb
12 8 16
direct
0.0947 0.0106 0.4036
0.0947 0.4894 0.9036
0.2161 0.5115 0.4027
0.2161 0.9885 0.9027
0.3115 0.1727 0.1303
0.3115 0.3273 0.6303
0.6885 0.6727 0.3697
0.6885 0.8273 0.8697
0.7839 0.0115 0.0973
0.7839 0.4885 0.5973
0.9053 0.5106 0.0964
0.9053 0.9894 0.5964
0.2338 0.6508 0.7510
0.2338 0.8492 0.2510
0.4525 0.6724 0.1273
0.4525 0.8276 0.6273
0.5475 0.1724 0.3727
0.5475 0.3276 0.8727
0.7662 0.1508 0.7490
0.7662 0.3492 0.2490
0.0712 0.6576 0.5368
0.0712 0.8424 0.0368
0.1158 0.2250 0.2494
0.1158 0.2750 0.7494
0.3332 0.0215 0.7510
0.3332 0.4785 0.2510
0.4966 0.6534 0.9635
0.4966 0.8466 0.4635
0.5034 0.1534 0.5365
0.5034 0.3466 0.0365
0.6668 0.5215 0.7490
0.6668 0.9785 0.2490
0.8842 0.7250 0.2506
0.8842 0.7750 0.7506
0.9288 0.1576 0.9632
0.9288 0.3424 0.4632
```